For Nd3Dy8Er2, a structure optimized by DFT (GGA-PBE) gives the calculated PXRD pattern in this record (Cu Kα).
Neutral-atom scattering factors, no anomalous dispersion.

Largest 6 diffraction maxima, low angle first, 2θ = 10–90°:
2θ = 30.7°, rel. 100
2θ = 35.6°, rel. 51
2θ = 51.2°, rel. 36
2θ = 60.8°, rel. 14
2θ = 60.9°, rel. 28
2θ = 63.9°, rel. 12

Structure:
Unit cell a=10.6947 b=10.6947 c=7.9903 alpha=94.20 beta=94.20 gamma=27.27
Sites, in units of the cell vectors:
Nd: 0.0000 0.0000 0.0000
Nd: 0.4610 0.4610 0.6931
Nd: 0.5390 0.5390 0.3069
Dy: 0.0788 0.0788 0.6145
Dy: 0.1560 0.1560 0.2300
Dy: 0.3068 0.3068 0.4613
Dy: 0.3823 0.3823 0.0788
Dy: 0.6177 0.6177 0.9212
Dy: 0.6932 0.6932 0.5387
Dy: 0.8440 0.8440 0.7700
Dy: 0.9212 0.9212 0.3855
Er: 0.2311 0.2311 0.8462
Er: 0.7689 0.7689 0.1538